# 1
Starting from a structure optimized by DFT (PBE+U), the X-ray diffraction stick pattern of CaTbEuVO6 was computed for Cu Kα X-rays.
No peak broadening, texture or thermal motion is included.

Largest 8 diffraction maxima, most intense first, 2θ from 10° to 80°:
30.71 deg, d = 2.912 Å, I 100.0; 54.59 deg, d = 1.681 Å, I 38.9; 43.98 deg, d = 2.059 Å, I 32.5; 18.66 deg, d = 4.755 Å, I 32.4; 36.18 deg, d = 2.483 Å, I 23.1; 63.95 deg, d = 1.456 Å, I 19.4; 72.61 deg, d = 1.302 Å, I 17.4; 48.16 deg, d = 1.889 Å, I 11.9

Structure:
Unit cell a=5.8233 b=5.8233 c=5.8233 alpha=60.00 beta=60.00 gamma=60.00
Positions (direct):
Ca1 0.0000 0.0000 0.0000
Tb1 0.7500 0.7500 0.7500
Eu1 0.5000 0.5000 0.5000
V1 0.2500 0.2500 0.2500
O1 0.0185 0.0185 0.4815
O2 0.0185 0.4815 0.0185
O3 0.0185 0.4815 0.4815
O4 0.4815 0.0185 0.0185
O5 0.4815 0.0185 0.4815
O6 0.4815 0.4815 0.0185

=====

# 2
Starting from a structure optimized by DFT (PBE+U), the X-ray diffraction stick pattern of CaTbEuVO6 was computed for Cu Kα X-rays.
No peak broadening, texture or thermal motion is included.

Largest 8 diffraction maxima, most intense first, 2θ from 10° to 80°:
27.32 deg, d = 3.264 Å, I 100.0; 27.61 deg, d = 3.230 Å, I 97.1; 27.89 deg, d = 3.199 Å, I 94.8; 16.80 deg, d = 5.276 Å, I 51.5; 48.30 deg, d = 1.884 Å, I 46.6; 48.81 deg, d = 1.866 Å, I 44.9; 49.35 deg, d = 1.847 Å, I 43.4; 38.61 deg, d = 2.332 Å, I 31.6

Structure:
Unit cell a=8.9584 b=9.1410 c=9.3269 alpha=90.00 beta=90.00 gamma=90.00
Positions (direct):
Ca1 0.0000 0.0000 0.0000
Ca2 0.0000 0.0000 0.5000
Ca3 0.0000 0.5000 0.0000
Ca4 0.5000 0.5000 0.5000
Tb1 0.2448 0.2531 0.7473
Tb2 0.2448 0.7469 0.2527
Tb3 0.7552 0.2531 0.2527
Tb4 0.7552 0.7469 0.7473
Eu1 0.0000 0.5000 0.5000
Eu2 0.5000 0.0000 0.0000
Eu3 0.5000 0.0000 0.5000
Eu4 0.5000 0.5000 0.0000
V1 0.2469 0.2519 0.2512
V2 0.2469 0.7481 0.7488
V3 0.7531 0.2519 0.7488
V4 0.7531 0.7481 0.2512
O1 0.0193 0.2088 0.2858
O2 0.0193 0.7912 0.7142
O3 0.2091 0.2852 0.0195
O4 0.2091 0.7148 0.9805
O5 0.2147 0.4804 0.2920
O6 0.2147 0.5196 0.7080
O7 0.2852 0.0193 0.2087
O8 0.2852 0.9807 0.7913
O9 0.2905 0.2158 0.4805
O10 0.2905 0.7842 0.5195
O11 0.4810 0.2902 0.2153
O12 0.4810 0.7098 0.7847
O13 0.5190 0.2902 0.7847
O14 0.5190 0.7098 0.2153
O15 0.7095 0.2158 0.5195
O16 0.7095 0.7842 0.4805
O17 0.7148 0.0193 0.7913
O18 0.7148 0.9807 0.2087
O19 0.7853 0.4804 0.7080
O20 0.7853 0.5196 0.2920
O21 0.7909 0.2852 0.9805
O22 0.7909 0.7148 0.0195
O23 0.9807 0.2088 0.7142
O24 0.9807 0.7912 0.2858

=====

# 3
Starting from a structure optimized by DFT (PBE+U), the X-ray diffraction stick pattern of CaEu2WO6 was computed for Cu Kα X-rays.
No peak broadening, texture or thermal motion is included.

Largest 8 diffraction maxima, most intense first, 2θ from 10° to 80°:
30.29 deg, d = 2.951 Å, I 100.0; 53.81 deg, d = 1.704 Å, I 40.2; 43.37 deg, d = 2.087 Å, I 29.2; 18.41 deg, d = 4.819 Å, I 19.8; 63.00 deg, d = 1.475 Å, I 18.1; 71.49 deg, d = 1.320 Å, I 17.9; 35.68 deg, d = 2.517 Å, I 9.7; 79.57 deg, d = 1.205 Å, I 6.0

Structure:
Unit cell a=5.9018 b=5.9018 c=5.9018 alpha=60.00 beta=60.00 gamma=60.00
Positions (direct):
Ca1 0.0000 0.0000 0.0000
Eu1 0.2500 0.2500 0.2500
Eu2 0.7500 0.7500 0.7500
W1 0.5000 0.5000 0.5000
O1 0.2669 0.2669 0.7331
O2 0.2669 0.7331 0.2669
O3 0.2669 0.7331 0.7331
O4 0.7331 0.2669 0.2669
O5 0.7331 0.2669 0.7331
O6 0.7331 0.7331 0.2669

=====

# 4
Starting from a structure optimized by DFT (PBE+U), the X-ray diffraction stick pattern of CaEuZnWO6 was computed for Cu Kα X-rays.
No peak broadening, texture or thermal motion is included.

Largest 8 diffraction maxima, most intense first, 2θ from 10° to 80°:
31.54 deg, d = 2.837 Å, I 100.0; 56.16 deg, d = 1.638 Å, I 39.4; 19.16 deg, d = 4.633 Å, I 32.2; 45.20 deg, d = 2.006 Å, I 31.2; 65.84 deg, d = 1.418 Å, I 18.8; 37.16 deg, d = 2.419 Å, I 18.0; 74.84 deg, d = 1.269 Å, I 17.1; 49.52 deg, d = 1.841 Å, I 7.8

Structure:
Unit cell a=5.6739 b=5.6739 c=5.6739 alpha=60.00 beta=60.00 gamma=60.00
Positions (direct):
Ca1 0.0000 0.0000 0.0000
Eu1 0.5000 0.5000 0.5000
Zn1 0.2500 0.2500 0.2500
W1 0.7500 0.7500 0.7500
O1 0.5077 0.5077 0.9923
O2 0.5077 0.9923 0.5077
O3 0.5077 0.9923 0.9923
O4 0.9923 0.5077 0.5077
O5 0.9923 0.5077 0.9923
O6 0.9923 0.9923 0.5077

=====

# 5
Starting from a structure optimized by DFT (PBE+U), the X-ray diffraction stick pattern of CaEuZrWO6 was computed for Cu Kα X-rays.
No peak broadening, texture or thermal motion is included.

Largest 8 diffraction maxima, most intense first, 2θ from 10° to 80°:
30.72 deg, d = 2.910 Å, I 100.0; 54.62 deg, d = 1.680 Å, I 40.1; 44.00 deg, d = 2.058 Å, I 30.9; 18.67 deg, d = 4.752 Å, I 22.5; 63.99 deg, d = 1.455 Å, I 19.0; 72.65 deg, d = 1.301 Å, I 17.3; 36.19 deg, d = 2.482 Å, I 13.6; 21.59 deg, d = 4.116 Å, I 8.6

Structure:
Unit cell a=5.8203 b=5.8203 c=5.8203 alpha=60.00 beta=60.00 gamma=60.00
Positions (direct):
Ca1 0.0000 0.0000 0.0000
Eu1 0.5000 0.5000 0.5000
Zr1 0.7500 0.7500 0.7500
W1 0.2500 0.2500 0.2500
O1 0.0028 0.0028 0.4972
O2 0.0028 0.4972 0.0028
O3 0.0028 0.4972 0.4972
O4 0.4972 0.0028 0.0028
O5 0.4972 0.0028 0.4972
O6 0.4972 0.4972 0.0028

=====

# 6
Starting from a structure optimized by DFT (PBE+U), the X-ray diffraction stick pattern of CaFeF4 was computed for Cu Kα X-rays.
No peak broadening, texture or thermal motion is included.

Largest 8 diffraction maxima, most intense first, 2θ from 10° to 80°:
28.28 deg, d = 3.155 Å, I 100.0; 47.20 deg, d = 1.926 Å, I 52.1; 55.48 deg, d = 1.656 Å, I 27.3; 46.68 deg, d = 1.946 Å, I 21.9; 56.40 deg, d = 1.632 Å, I 13.0; 37.48 deg, d = 2.399 Å, I 11.2; 76.13 deg, d = 1.250 Å, I 10.7; 44.62 deg, d = 2.031 Å, I 7.5

Structure:
Unit cell a=6.6490 b=6.6490 c=6.6490 alpha=131.11 beta=131.11 gamma=71.64
Positions (direct):
Ca1 0.2500 0.2500 0.0000
Ca2 0.7500 0.7500 0.0000
Fe1 0.0000 0.5000 0.5000
Fe2 0.5000 0.0000 0.5000
F1 0.0581 0.5581 0.8747
F2 0.1834 0.0581 0.5000
F3 0.3166 0.8166 0.8747
F4 0.4419 0.3166 0.5000
F5 0.5581 0.6834 0.5000
F6 0.6834 0.1834 0.1253
F7 0.8166 0.9419 0.5000
F8 0.9419 0.4419 0.1253